Diffraction record for ErTmCd2. The PXRD pattern is calculated, not measured: it uses a DFT-relaxed cell (GGA-PBE, the Materials Project) and copper Kα.

Structure:
Cell lengths 7.4251, 7.4251, 7.4251 Å; angles 90.00, 90.00, 90.00 degrees
Space group Fm-3m (No. 225)
Symmetry-distinct sites (fractional):
Er: 0.0000 0.0000 0.0000
Tm: 0.0000 0.0000 0.5000
Cd: 0.2500 0.2500 0.2500

Peak list (6 most intense, 2θ = 10–90°, low angle first)
two_theta  I_rel  index
23.97  4  2 0 0
34.16  100  2 2 0
49.08  18  4 0 0
61.15  36  4 2 2
71.94  11  4 4 0
82.09  16  6 2 0